No. 1
For YLuSe3, a structure optimized by DFT (GGA-PBE) gives the simulated PXRD pattern in this record (copper Kα).
Neutral-atom scattering factors, no anomalous dispersion.

Principal peaks in the range 10° ≤ 2θ ≤ 80°, in order of rising 2θ:
2θ = 17.06°, I = 61
2θ = 23.41°, I = 49
2θ = 24.98°, I = 27
2θ = 28.64°, I = 71
2θ = 34.50°, I = 35
2θ = 37.69°, I = 100
2θ = 43.07°, I = 29
2θ = 44.00°, I = 62
2θ = 59.29°, I = 25
2θ = 76.71°, I = 21

```
YLuSe3
1.0
3.5642 2.0578 6.4273
-3.5642 2.0578 6.4273
0.0000 -4.1156 6.4273
Y Lu Se
2 2 6
Direct
0.0000 0.0000 0.0000
0.5000 0.5000 0.5000
0.1949 0.1949 0.1949
0.6949 0.6949 0.6949
0.0885 0.7999 0.4116
0.2999 0.5885 0.9116
0.4116 0.0885 0.7999
0.5885 0.9116 0.2999
0.7999 0.4116 0.0885
0.9116 0.2999 0.5885
```

No. 2
For YbLu2Se4, a structure optimized by DFT (GGA-PBE) gives the simulated PXRD pattern in this record (copper Kα).
Neutral-atom scattering factors, no anomalous dispersion.

Principal peaks in the range 10° ≤ 2θ ≤ 80°, in order of rising 2θ:
2θ = 13.05°, I = 23
2θ = 13.46°, I = 15
2θ = 30.92°, I = 100
2θ = 31.52°, I = 48
2θ = 43.84°, I = 19
2θ = 44.21°, I = 37
2θ = 44.74°, I = 18
2θ = 45.26°, I = 35
2θ = 55.75°, I = 19
2θ = 64.43°, I = 12

```
YbLu2Se4
1.0
6.9156 0.0000 0.0000
0.0000 4.0514 0.0000
-2.1942 0.0000 6.7830
Yb Lu Se
1 2 4
Direct
0.0000 0.0000 0.0000
0.0000 0.5000 0.5000
0.5000 0.0000 0.5000
0.2424 0.0000 0.7312
0.2593 0.5000 0.2590
0.7407 0.5000 0.7410
0.7576 0.0000 0.2688
```

No. 3
For Sm6Lu, a structure optimized by DFT (GGA-PBE) gives the simulated PXRD pattern in this record (copper Kα).
Neutral-atom scattering factors, no anomalous dispersion.

Principal peaks in the range 10° ≤ 2θ ≤ 80°, in order of rising 2θ:
2θ = 22.01°, I = 41
2θ = 27.04°, I = 100
2θ = 38.62°, I = 31
2θ = 41.85°, I = 62
2θ = 44.89°, I = 33
2θ = 50.54°, I = 18
2θ = 53.19°, I = 16
2θ = 63.04°, I = 19
2θ = 65.36°, I = 21
2θ = 72.09°, I = 19

```
Sm6Lu
1.0
8.0764 0.0000 0.0000
0.0000 8.0764 0.0000
0.0000 0.0000 8.0764
Sm Lu
12 2
Direct
0.0000 0.2500 0.5000
0.0000 0.5000 0.2500
0.0000 0.5000 0.7500
0.0000 0.7500 0.5000
0.2500 0.0000 0.5000
0.2500 0.5000 0.0000
0.5000 0.0000 0.2500
0.5000 0.0000 0.7500
0.5000 0.2500 0.0000
0.5000 0.7500 0.0000
0.7500 0.0000 0.5000
0.7500 0.5000 0.0000
0.0000 0.0000 0.0000
0.5000 0.5000 0.5000
```

No. 4
For SmLu3, a structure optimized by DFT (GGA-PBE) gives the simulated PXRD pattern in this record (copper Kα).
Neutral-atom scattering factors, no anomalous dispersion.

Principal peaks in the range 10° ≤ 2θ ≤ 80°, in order of rising 2θ:
2θ = 31.28°, I = 100
2θ = 36.15°, I = 34
2θ = 36.54°, I = 17
2θ = 52.05°, I = 12
2θ = 52.34°, I = 24
2θ = 62.00°, I = 29
2θ = 62.51°, I = 14
2θ = 65.27°, I = 12
2θ = 76.71°, I = 4
2θ = 77.65°, I = 2

```
SmLu3
1.0
4.9693 0.0000 0.0000
0.0000 4.9693 0.0000
0.0000 0.0000 9.8374
Sm Lu
2 6
Direct
0.0000 0.0000 0.0000
0.5000 0.5000 0.5000
0.0000 0.0000 0.5000
0.0000 0.5000 0.2500
0.0000 0.5000 0.7500
0.5000 0.0000 0.2500
0.5000 0.0000 0.7500
0.5000 0.5000 0.0000
```

No. 5
For SmLuZnSn, a structure optimized by DFT (GGA-PBE) gives the simulated PXRD pattern in this record (copper Kα).
Neutral-atom scattering factors, no anomalous dispersion.

Principal peaks in the range 10° ≤ 2θ ≤ 80°, in order of rising 2θ:
2θ = 20.97°, I = 3
2θ = 24.26°, I = 8
2θ = 34.58°, I = 100
2θ = 40.79°, I = 2
2θ = 42.69°, I = 2
2θ = 49.71°, I = 18
2θ = 56.06°, I = 3
2θ = 61.96°, I = 37
2θ = 72.94°, I = 12
2θ = 78.17°, I = 1

```
SmLuZnSn
1.0
7.3366 0.0000 0.0000
0.0000 7.3366 0.0000
0.0000 0.0000 7.3366
Sm Lu Zn Sn
4 4 4 4
Direct
0.0000 0.0000 0.0000
0.0000 0.5000 0.5000
0.5000 0.0000 0.5000
0.5000 0.5000 0.0000
0.0000 0.0000 0.5000
0.0000 0.5000 0.0000
0.5000 0.0000 0.0000
0.5000 0.5000 0.5000
0.2500 0.2500 0.7500
0.2500 0.7500 0.2500
0.7500 0.2500 0.2500
0.7500 0.7500 0.7500
0.2500 0.2500 0.2500
0.2500 0.7500 0.7500
0.7500 0.2500 0.7500
0.7500 0.7500 0.2500
```

No. 6
For SmYLuTl, a structure optimized by DFT (GGA-PBE) gives the simulated PXRD pattern in this record (copper Kα).
Neutral-atom scattering factors, no anomalous dispersion.

Principal peaks in the range 10° ≤ 2θ ≤ 80°, in order of rising 2θ:
2θ = 19.84°, I = 2
2θ = 22.95°, I = 5
2θ = 32.68°, I = 100
2θ = 38.53°, I = 1
2θ = 40.31°, I = 2
2θ = 46.89°, I = 18
2θ = 52.83°, I = 3
2θ = 58.33°, I = 38
2θ = 68.48°, I = 12
2θ = 77.97°, I = 17

```
SmYLuTl
1.0
7.7504 0.0000 0.0000
0.0000 7.7504 0.0000
0.0000 0.0000 7.7504
Sm Y Lu Tl
4 4 4 4
Direct
0.0000 0.0000 0.0000
0.0000 0.5000 0.5000
0.5000 0.0000 0.5000
0.5000 0.5000 0.0000
0.0000 0.0000 0.5000
0.0000 0.5000 0.0000
0.5000 0.0000 0.0000
0.5000 0.5000 0.5000
0.2500 0.2500 0.2500
0.2500 0.7500 0.7500
0.7500 0.2500 0.7500
0.7500 0.7500 0.2500
0.2500 0.2500 0.7500
0.2500 0.7500 0.2500
0.7500 0.2500 0.2500
0.7500 0.7500 0.7500
```

No. 7
For Lu5Sn, a structure optimized by DFT (GGA-PBE) gives the simulated PXRD pattern in this record (copper Kα).
Neutral-atom scattering factors, no anomalous dispersion.

Principal peaks in the range 10° ≤ 2θ ≤ 80°, in order of rising 2θ:
2θ = 32.37°, I = 100
2θ = 37.15°, I = 17
2θ = 37.63°, I = 17
2θ = 37.87°, I = 16
2θ = 53.91°, I = 12
2θ = 54.10°, I = 12
2θ = 63.98°, I = 14
2θ = 64.63°, I = 14
2θ = 64.96°, I = 14
2θ = 67.77°, I = 12

```
Lu5Sn
1.0
4.7509 0.0000 0.0000
0.0000 14.5194 0.0000
0.0000 0.0000 4.7807
Lu Sn
10 2
Direct
0.0000 0.0000 0.0000
0.0000 0.1625 0.5000
0.0000 0.3299 0.0000
0.0000 0.6701 0.0000
0.0000 0.8375 0.5000
0.5000 0.1701 0.0000
0.5000 0.3375 0.5000
0.5000 0.5000 0.0000
0.5000 0.6625 0.5000
0.5000 0.8299 0.0000
0.0000 0.5000 0.5000
0.5000 0.0000 0.5000
```

No. 8
For Tb2LuV, a structure optimized by DFT (GGA-PBE) gives the simulated PXRD pattern in this record (copper Kα).
Neutral-atom scattering factors, no anomalous dispersion.

Principal peaks in the range 10° ≤ 2θ ≤ 80°, in order of rising 2θ:
2θ = 25.50°, I = 21
2θ = 32.10°, I = 100
2θ = 33.25°, I = 18
2θ = 34.23°, I = 19
2θ = 37.88°, I = 55
2θ = 48.47°, I = 16
2θ = 53.20°, I = 25
2θ = 59.90°, I = 12
2θ = 63.51°, I = 14
2θ = 64.80°, I = 17

```
Tb2LuV
1.0
3.4433 0.0000 0.0000
-1.7216 2.9819 0.0000
0.0000 0.0000 31.4367
Tb Lu V
6 3 3
Direct
0.0000 0.0000 0.2386
0.0000 0.0000 0.7614
0.3333 0.6667 0.4281
0.3333 0.6667 0.9053
0.6667 0.3333 0.0947
0.6667 0.3333 0.5719
0.0000 0.0000 0.0000
0.3333 0.6667 0.6667
0.6667 0.3333 0.3333
0.0000 0.0000 0.5000
0.3333 0.6667 0.1667
0.6667 0.3333 0.8333
```

No. 9
For Lu5Tc, a structure optimized by DFT (GGA-PBE) gives the simulated PXRD pattern in this record (copper Kα).
Neutral-atom scattering factors, no anomalous dispersion.

Principal peaks in the range 10° ≤ 2θ ≤ 80°, in order of rising 2θ:
2θ = 33.41°, I = 100
2θ = 35.99°, I = 23
2θ = 36.96°, I = 21
2θ = 43.04°, I = 9
2θ = 52.54°, I = 15
2θ = 57.32°, I = 8
2θ = 58.00°, I = 8
2θ = 63.06°, I = 16
2θ = 64.34°, I = 15
2θ = 70.18°, I = 9

```
Lu5Tc
1.0
4.8647 0.0000 0.0000
0.0000 12.6085 0.0000
0.0000 0.0000 4.9914
Lu Tc
10 2
Direct
0.0000 0.0000 0.0000
0.0000 0.1446 0.5000
0.0000 0.3489 0.0000
0.0000 0.6511 0.0000
0.0000 0.8554 0.5000
0.5000 0.1511 0.0000
0.5000 0.3554 0.5000
0.5000 0.5000 0.0000
0.5000 0.6446 0.5000
0.5000 0.8489 0.0000
0.0000 0.5000 0.5000
0.5000 0.0000 0.5000
```

No. 10
For YLuTe2, a structure optimized by DFT (GGA-PBE) gives the simulated PXRD pattern in this record (copper Kα).
Neutral-atom scattering factors, no anomalous dispersion.

Principal peaks in the range 10° ≤ 2θ ≤ 80°, in order of rising 2θ:
2θ = 11.77°, I = 5
2θ = 26.50°, I = 3
2θ = 33.70°, I = 100
2θ = 35.82°, I = 2
2θ = 43.38°, I = 1
2θ = 48.41°, I = 18
2θ = 50.00°, I = 1
2θ = 60.28°, I = 37
2θ = 67.00°, I = 1
2θ = 70.87°, I = 11

```
YLuTe2
1.0
3.7609 0.0000 0.0000
0.0000 3.7609 0.0000
0.0000 0.0000 7.5205
Y Lu Te
1 1 2
Direct
0.0000 0.0000 0.0000
0.0000 0.0000 0.5000
0.5000 0.5000 0.2532
0.5000 0.5000 0.7468
```

No. 11
For Lu3Th, a structure optimized by DFT (GGA-PBE) gives the simulated PXRD pattern in this record (copper Kα).
Neutral-atom scattering factors, no anomalous dispersion.

Principal peaks in the range 10° ≤ 2θ ≤ 80°, in order of rising 2θ:
2θ = 31.27°, I = 100
2θ = 35.85°, I = 35
2θ = 37.08°, I = 16
2θ = 51.60°, I = 13
2θ = 52.53°, I = 24
2θ = 61.59°, I = 30
2θ = 63.23°, I = 14
2θ = 65.23°, I = 12
2θ = 75.98°, I = 4
2θ = 78.97°, I = 2

```
Lu3Th
1.0
5.0097 0.0000 0.0000
0.0000 5.0097 0.0000
0.0000 0.0000 9.6993
Lu Th
6 2
Direct
0.0000 0.0000 0.0000
0.0000 0.5000 0.2500
0.0000 0.5000 0.7500
0.5000 0.0000 0.2500
0.5000 0.0000 0.7500
0.5000 0.5000 0.5000
0.0000 0.0000 0.5000
0.5000 0.5000 0.0000
```

No. 12
For LuThTl, a structure optimized by DFT (GGA-PBE) gives the simulated PXRD pattern in this record (copper Kα).
Neutral-atom scattering factors, no anomalous dispersion.

Principal peaks in the range 10° ≤ 2θ ≤ 80°, in order of rising 2θ:
2θ = 31.67°, I = 100
2θ = 35.07°, I = 39
2θ = 39.86°, I = 13
2θ = 50.44°, I = 14
2θ = 53.64°, I = 2
2θ = 54.13°, I = 22
2θ = 60.79°, I = 32
2θ = 66.14°, I = 12
2θ = 67.28°, I = 10
2θ = 74.11°, I = 5

```
LuThTl
1.0
3.6185 0.0000 0.0000
0.0000 3.6185 0.0000
0.0000 0.0000 13.5683
Lu Th Tl
2 2 2
Direct
0.0000 0.0000 0.0000
0.5000 0.5000 0.5000
0.0000 0.0000 0.6813
0.5000 0.5000 0.1813
0.0000 0.0000 0.3517
0.5000 0.5000 0.8517
```